This entry pairs a crystal structure of CoH10SeO9 with its simulated powder diffractogram. Radiation: Cu Kα X-rays. Structure: a GGA+U-relaxed structure.
Intensities are scaled so that the largest is 1000.

Cell and atoms:
a = 6.2335 Å, b = 6.3344 Å, c = 10.9181 Å
α = 75.71°, β = 81.48°, γ = 70.97°
Space group P-1 (No. 2)
Unique sites:
Co 0.0000 0.0000 0.0000 [1 per cell]
Co 0.0000 0.5000 0.5000 [1 per cell]
H 0.0934 0.1716 0.7068 [2 per cell]
H 0.1056 0.3057 0.0952 [2 per cell]
H 0.1672 0.6355 0.8815 [2 per cell]
H 0.2414 0.7796 0.5035 [2 per cell]
H 0.2532 0.6059 0.6402 [2 per cell]
H 0.2915 0.9261 0.3010 [2 per cell]
H 0.3148 0.1016 0.3744 [2 per cell]
H 0.3353 0.1599 0.6298 [2 per cell]
H 0.3428 0.1819 0.8707 [2 per cell]
H 0.4353 0.9050 0.8926 [2 per cell]
Se 0.3561 0.5166 0.2124 [2 per cell]
O 0.0282 0.7357 0.9188 [2 per cell]
O 0.1620 0.6808 0.5660 [2 per cell]
O 0.1692 0.1995 0.6214 [2 per cell]
O 0.1787 0.7844 0.1745 [2 per cell]
O 0.2840 0.3981 0.3621 [2 per cell]
O 0.3005 0.0392 0.9008 [2 per cell]
O 0.3520 0.3516 0.1152 [2 per cell]
O 0.3622 0.9361 0.3732 [2 per cell]
O 0.3789 0.4648 0.7933 [2 per cell]

Largest 8 diffraction maxima, most intense first, 2θ from 10° to 80°:
4.979 Å, 2θ 17.82, intensity 1000, hkl 1 1 1
2.767 Å, 2θ 32.35, intensity 487, hkl 0 1 -3
3.789 Å, 2θ 23.48, intensity 486, hkl 1 0 -2
3.347 Å, 2θ 26.63, intensity 463, hkl 1 -1 1
5.852 Å, 2θ 15.14, intensity 418, hkl 0 1 0
5.303 Å, 2θ 16.72, intensity 285, hkl 1 0 1
3.121 Å, 2θ 28.60, intensity 263, hkl -1 1 2
4.079 Å, 2θ 21.79, intensity 262, hkl 1 0 2